Starting from a structure optimized by DFT (GGA-PBE), the powder diffractogram of TbYC was simulated for Cu Kα, 1.54184 Å.
No peak broadening, texture or thermal motion is included.

Principal peaks in the range 10° ≤ 2θ ≤ 90°, low angle first:
14.1 deg, rel. 22.0, (0 0 1)
28.4 deg, rel. 23.6, (0 0 2)
28.7 deg, rel. 23.5, (1 0 0)
32.1 deg, rel. 100.0, (1 0 1)
40.8 deg, rel. 29.6, (0 1 2)
50.8 deg, rel. 19.7, (1 1 0)
52.6 deg, rel. 20.7, (1 0 3)
59.2 deg, rel. 18.1, (1 1 2)

Cell lengths 3.5927, 3.5927, 6.2888 Å; angles 90.00, 90.00, 120.00 degrees
Space group P3m1 (No. 156)
One atom of each set of equivalent atoms:
1 Tb 0.0000 0.0000 0.0000 x1
2 Y 0.6667 0.3333 0.4318 x1
3 C 0.3333 0.6667 0.2142 x1